Record 1
Diffraction record for Na4Pu3FeN8. The XRD peak list is computed, not measured: it uses the PBE geometry in Alexandria and Cu Kα.
Lines closer than 0.1° are merged.

Atomic structure:
Cell: 12.048 6.494 6.732 Å, 90.00 123.11 90.00°
Space group C2/m (No. 12)
Asymmetric unit:
Na 0.000 0.000 0.000 x2
Na 0.000 0.500 0.000 x2
Na 0.250 0.250 0.000 x4
Pu 0.000 0.000 0.500 x2
Pu 0.250 0.250 0.500 x4
Fe 0.000 0.500 0.500 x2
N 0.023 0.261 0.328 x8
N 0.229 0.000 0.690 x4
N 0.240 0.000 0.289 x4

Largest 6 diffraction maxima, low angle first, 15 to 90 degrees two-theta:
2θ 15.72, d 5.639, intensity 100, hkl 0 0 1; 2θ 31.74, d 2.819, intensity 25, hkl 0 0 2; 2θ 31.92, d 2.804, intensity 30, hkl 2 2 -1; 2θ 32.80, d 2.730, intensity 39, hkl 2 2 0; 2θ 35.58, d 2.523, intensity 25, hkl 4 0 0; 2θ 38.53, d 2.337, intensity 40, hkl 2 2 -2

Record 2
Diffraction record for Nb8Fe2N. The XRD peak list is computed, not measured: it uses the PBE geometry in Alexandria and Cu Kα.
Lines closer than 0.1° are merged.

Atomic structure:
Cell: 14.616 4.466 5.623 Å, 90.00 106.79 90.00°
Space group C2/m (No. 12)
Asymmetric unit:
Nb 0.012 0.000 0.261 x4
Nb 0.092 0.500 0.935 x4
Nb 0.133 0.500 0.462 x4
Nb 0.211 0.000 0.774 x4
Fe 0.180 0.000 0.168 x4
N 0.000 0.500 0.500 x2

Largest 6 diffraction maxima, low angle first, 15 to 90 degrees two-theta:
2θ 35.18, d 2.551, intensity 32, hkl 3 1 1; 2θ 35.73, d 2.513, intensity 41, hkl 4 0 -2; 2θ 37.94, d 2.371, intensity 100, hkl 5 1 0; 2θ 40.39, d 2.233, intensity 54, hkl 0 2 0; 2θ 41.23, d 2.189, intensity 57, hkl 1 1 2; 2θ 55.01, d 1.669, intensity 23, hkl 4 2 -2

Record 3
Diffraction record for Nb3Fe2N. The XRD peak list is computed, not measured: it uses the PBE geometry in Alexandria and Cu Kα.
Lines closer than 0.1° are merged.

Atomic structure:
Cell: 6.939 6.939 6.939 Å, 90.00 90.00 90.00°
Space group P4_132 (No. 213)
Asymmetric unit:
Nb 0.045 0.125 0.795 x12
Fe 0.074 0.926 0.426 x8
N 0.125 0.375 0.625 x4

Largest 6 diffraction maxima, low angle first, 15 to 90 degrees two-theta:
2θ 38.94, d 2.313, intensity 100, hkl 2 2 1; 2θ 41.13, d 2.194, intensity 58, hkl 3 1 0; 2θ 43.24, d 2.092, intensity 21, hkl 3 1 1; 2θ 59.58, d 1.552, intensity 9, hkl 4 2 0; 2θ 69.01, d 1.361, intensity 21, hkl 4 3 1; 2θ 73.49, d 1.289, intensity 21, hkl 5 2 0

Record 4
Diffraction record for Pm2NbFeN5. The XRD peak list is computed, not measured: it uses the PBE geometry in Alexandria and Cu Kα.
Lines closer than 0.1° are merged.

Atomic structure:
Cell: 3.247 14.262 10.065 Å, 90.00 90.00 90.00°
Space group Cmc2_1 (No. 36)
Asymmetric unit:
Pm 0.000 0.118 0.000 x4
Pm 0.000 0.125 0.630 x4
Nb 0.000 0.206 0.329 x4
Fe 0.000 0.451 0.751 x4
N 0.000 0.029 0.320 x4
N 0.000 0.302 0.966 x4
N 0.000 0.325 0.684 x4
N 0.000 0.339 0.312 x4
N 0.000 0.499 0.588 x4

Largest 6 diffraction maxima, low angle first, 15 to 90 degrees two-theta:
2θ 29.42, d 3.036, intensity 100, hkl 0 2 3; 2θ 30.73, d 2.909, intensity 54, hkl 0 4 2; 2θ 33.43, d 2.681, intensity 83, hkl 1 3 0; 2θ 34.62, d 2.591, intensity 44, hkl 1 3 1; 2θ 39.12, d 2.302, intensity 92, hkl 1 1 3; 2θ 46.04, d 1.971, intensity 45, hkl 1 5 2

Record 5
Diffraction record for NbFe2RhN. The XRD peak list is computed, not measured: it uses the PBE geometry in Alexandria and Cu Kα.
Lines closer than 0.1° are merged.

Atomic structure:
Cell: 3.834 3.834 4.226 Å, 90.00 90.00 90.00°
Space group P4/mmm (No. 123)
Asymmetric unit:
Nb 0.000 0.000 0.000 x1
Fe 0.000 0.500 0.500 x2
Rh 0.500 0.500 0.000 x1
N 0.000 0.000 0.500 x1

Largest 6 diffraction maxima, low angle first, 15 to 90 degrees two-theta:
2θ 39.49, d 2.282, intensity 100, hkl 1 1 1; 2θ 42.79, d 2.113, intensity 23, hkl 0 0 2; 2θ 47.43, d 1.917, intensity 34, hkl 2 0 0; 2θ 65.77, d 1.420, intensity 24, hkl 2 0 2; 2θ 76.15, d 1.250, intensity 14, hkl 1 1 3; 2θ 82.83, d 1.165, intensity 22, hkl 3 1 1

Record 6
Diffraction record for Nb2FeSiN. The XRD peak list is computed, not measured: it uses the PBE geometry in Alexandria and Cu Kα.
Lines closer than 0.1° are merged.

Atomic structure:
Cell: 4.271 4.271 3.721 Å, 90.00 90.00 90.00°
Space group P4/mmm (No. 123)
Asymmetric unit:
Nb 0.000 0.500 0.000 x2
Fe 0.000 0.000 0.500 x1
Si 0.500 0.500 0.500 x1
N 0.000 0.000 0.000 x1

Largest 6 diffraction maxima, low angle first, 15 to 90 degrees two-theta:
2θ 23.91, d 3.721, intensity 17, hkl 0 0 1; 2θ 38.39, d 2.345, intensity 100, hkl 1 1 1; 2θ 42.32, d 2.136, intensity 45, hkl 2 0 0; 2θ 48.95, d 1.861, intensity 15, hkl 0 0 2; 2θ 66.67, d 1.403, intensity 22, hkl 2 0 2; 2θ 74.78, d 1.270, intensity 27, hkl 3 1 1

Record 7
Diffraction record for NdFeN2. The XRD peak list is computed, not measured: it uses the PBE geometry in Alexandria and Cu Kα.
Lines closer than 0.1° are merged.

Atomic structure:
Cell: 5.4754 5.4754 6.3069 Å, 90.00 90.00 120.00°
Space group P3_121 (No. 152)
Asymmetric unit:
Nd 0.0000 0.6505 0.1667 x3
Fe 0.0000 0.5869 0.6667 x3
N 0.1228 0.4291 0.8747 x6

Largest 6 diffraction maxima, low angle first, 15 to 90 degrees two-theta:
2θ 23.47, d 3.790, intensity 46, hkl 0 1 1; 2θ 32.71, d 2.738, intensity 97, hkl 1 1 0; 2θ 34.15, d 2.626, intensity 100, hkl 1 0 2; 2θ 40.65, d 2.219, intensity 25, hkl 2 0 1; 2θ 48.01, d 1.895, intensity 42, hkl 0 2 2; 2θ 59.31, d 1.558, intensity 34, hkl 2 1 2

Record 8
Diffraction record for PrNd2FeN4. The XRD peak list is computed, not measured: it uses the PBE geometry in Alexandria and Cu Kα.
Lines closer than 0.1° are merged.

Atomic structure:
Cell: 3.500 11.908 12.053 Å, 90.00 90.00 90.00°
Space group Cmcm (No. 63)
Asymmetric unit:
Pr 0.000 0.122 0.250 x4
Nd 0.000 0.367 0.044 x8
Fe 0.000 0.161 0.750 x4
N 0.000 0.000 0.000 x4
N 0.000 0.270 0.636 x8
N 0.000 0.398 0.250 x4

Largest 6 diffraction maxima, low angle first, 15 to 90 degrees two-theta:
2θ 26.77, d 3.330, intensity 74, hkl 0 2 3; 2θ 29.65, d 3.013, intensity 40, hkl 0 0 4; 2θ 30.02, d 2.977, intensity 66, hkl 0 4 0; 2θ 30.47, d 2.934, intensity 100, hkl 1 1 2; 2θ 37.36, d 2.407, intensity 98, hkl 1 3 2; 2θ 46.37, d 1.958, intensity 35, hkl 1 1 5

Record 9
Diffraction record for NdTiFe11N. The XRD peak list is computed, not measured: it uses the PBE geometry in Alexandria and Cu Kα.
Lines closer than 0.1° are merged.

Atomic structure:
Cell: 4.897 8.616 8.540 Å, 90.00 90.00 90.00°
Space group Imm2 (No. 44)
Asymmetric unit:
Nd 0.000 0.000 0.000 x2
Ti 0.000 0.000 0.374 x2
Fe 0.000 0.000 0.648 x2
Fe 0.000 0.278 0.510 x4
Fe 0.000 0.360 0.006 x4
Fe 0.000 0.500 0.279 x2
Fe 0.000 0.500 0.731 x2
Fe 0.250 0.248 0.756 x8
N 0.000 0.500 0.506 x2

Largest 6 diffraction maxima, low angle first, 15 to 90 degrees two-theta:
2θ 29.51, d 3.027, intensity 30, hkl 1 2 1; 2θ 41.94, d 2.154, intensity 38, hkl 0 4 0; 2θ 42.17, d 2.143, intensity 64, hkl 1 3 2; 2θ 42.31, d 2.136, intensity 96, hkl 0 0 4; 2θ 42.52, d 2.126, intensity 100, hkl 2 0 2; 2θ 47.72, d 1.906, intensity 40, hkl 2 2 2

Record 10
Diffraction record for NdTm2FeN4. The XRD peak list is computed, not measured: it uses the PBE geometry in Alexandria and Cu Kα.
Lines closer than 0.1° are merged.

Atomic structure:
Cell: 3.369 11.321 11.364 Å, 90.00 90.00 90.00°
Space group Cmcm (No. 63)
Asymmetric unit:
Nd 0.000 0.108 0.250 x4
Tm 0.000 0.368 0.045 x8
Fe 0.000 0.159 0.750 x4
N 0.000 0.000 0.000 x4
N 0.000 0.266 0.627 x8
N 0.000 0.418 0.250 x4

Largest 6 diffraction maxima, low angle first, 15 to 90 degrees two-theta:
2θ 28.35, d 3.148, intensity 73, hkl 0 2 3; 2θ 31.61, d 2.830, intensity 59, hkl 0 4 0; 2θ 31.87, d 2.808, intensity 100, hkl 1 1 2; 2θ 36.60, d 2.455, intensity 42, hkl 1 3 1; 2θ 39.19, d 2.299, intensity 78, hkl 1 3 2; 2θ 54.46, d 1.685, intensity 57, hkl 2 0 0

Record 11
Diffraction record for NdU2FeN4. The XRD peak list is computed, not measured: it uses the PBE geometry in Alexandria and Cu Kα.
Lines closer than 0.1° are merged.

Atomic structure:
Cell: 3.438 11.468 11.257 Å, 90.00 90.00 90.00°
Space group Cmcm (No. 63)
Asymmetric unit:
Nd 0.000 0.102 0.250 x4
U 0.000 0.369 0.058 x8
Fe 0.000 0.162 0.750 x4
N 0.000 0.000 0.000 x4
N 0.000 0.268 0.612 x8
N 0.000 0.442 0.250 x4

Largest 6 diffraction maxima, low angle first, 15 to 90 degrees two-theta:
2θ 28.43, d 3.140, intensity 100, hkl 0 2 3; 2θ 31.20, d 2.867, intensity 56, hkl 0 4 0; 2θ 31.48, d 2.842, intensity 84, hkl 1 1 2; 2θ 36.03, d 2.493, intensity 33, hkl 1 3 1; 2θ 38.69, d 2.327, intensity 62, hkl 1 3 2; 2θ 53.88, d 1.702, intensity 45, hkl 0 6 3

Record 12
Diffraction record for FeNi3N3. The XRD peak list is computed, not measured: it uses the PBE geometry in Alexandria and Cu Kα.
Lines closer than 0.1° are merged.

Atomic structure:
Cell: 6.7859 6.7859 3.7368 Å, 90.00 90.00 120.00°
Space group P6_3/mmc (No. 194)
Asymmetric unit:
Fe 0.3333 0.6667 0.2500 x2
Ni 0.1466 0.2932 0.7500 x6
N 0.1841 0.3681 0.2500 x6

Largest 6 diffraction maxima, low angle first, 15 to 90 degrees two-theta:
2θ 15.08, d 5.877, intensity 19, hkl 1 0 0; 2θ 30.42, d 2.938, intensity 62, hkl 2 0 0; 2θ 38.99, d 2.310, intensity 100, hkl 2 0 1; 2θ 48.74, d 1.868, intensity 22, hkl 0 0 2; 2θ 54.06, d 1.696, intensity 35, hkl 2 2 0; 2θ 75.73, d 1.256, intensity 23, hkl 2 2 2

Repeat the seventh record exactly.
Diffraction record for NdFeN2. The XRD peak list is computed, not measured: it uses the PBE geometry in Alexandria and Cu Kα.
Lines closer than 0.1° are merged.

Atomic structure:
Cell: 5.4754 5.4754 6.3069 Å, 90.00 90.00 120.00°
Space group P3_121 (No. 152)
Asymmetric unit:
Nd 0.0000 0.6505 0.1667 x3
Fe 0.0000 0.5869 0.6667 x3
N 0.1228 0.4291 0.8747 x6

Largest 6 diffraction maxima, low angle first, 15 to 90 degrees two-theta:
2θ 23.47, d 3.790, intensity 46, hkl 0 1 1; 2θ 32.71, d 2.738, intensity 97, hkl 1 1 0; 2θ 34.15, d 2.626, intensity 100, hkl 1 0 2; 2θ 40.65, d 2.219, intensity 25, hkl 2 0 1; 2θ 48.01, d 1.895, intensity 42, hkl 0 2 2; 2θ 59.31, d 1.558, intensity 34, hkl 2 1 2